1.
Starting from a cell relaxed with GGA-PBE, the XRD peak list of SmGaCo2H was simulated for λ = 1.5418 Å (Cu Kα).

Atomic structure:
a = 5.5451 Å, b = 5.5451 Å, c = 7.0622 Å
α = 90.00°, β = 90.00°, γ = 140.66°
Element x y z (fractional)
Sm 0.0577 0.9423 0.7500
Sm 0.9423 0.0577 0.2500
Ga 0.2213 0.7787 0.2500
Ga 0.7787 0.2213 0.7500
Co 0.3386 0.6614 0.5525
Co 0.3386 0.6614 0.9475
Co 0.6614 0.3386 0.0525
Co 0.6614 0.3386 0.4475
H 0.5000 0.5000 0.0000
H 0.5000 0.5000 0.5000

Principal peaks in the range 5° ≤ 2θ ≤ 70°, sorted by position:
25.22°, rel. 22
25.34°, rel. 21
35.25°, rel. 30
36.05°, rel. 100
36.70°, rel. 59
37.55°, rel. 84
42.11°, rel. 21
48.79°, rel. 30
52.98°, rel. 27
62.58°, rel. 24



2.
Starting from a cell relaxed with GGA-PBE, the XRD peak list of Zr6Ga2CoH10 was simulated for λ = 1.5418 Å (Cu Kα).

Atomic structure:
a = 8.0328 Å, b = 8.0328 Å, c = 7.1742 Å
α = 90.00°, β = 90.00°, γ = 120.00°
Element x y z (fractional)
Zr 0.0000 0.7380 0.0000
Zr 0.0000 0.7380 0.5000
Zr 0.0457 0.4222 0.2500
Zr 0.2620 0.2620 0.0000
Zr 0.2620 0.2620 0.5000
Zr 0.3764 0.9543 0.2500
Zr 0.4222 0.0457 0.7500
Zr 0.5778 0.6236 0.2500
Zr 0.6236 0.5778 0.7500
Zr 0.7380 0.0000 0.0000
Zr 0.7380 0.0000 0.5000
Zr 0.9543 0.3764 0.7500
Ga 0.3333 0.6667 0.5483
Ga 0.3333 0.6667 0.9517
Ga 0.6667 0.3333 0.0483
Ga 0.6667 0.3333 0.4517
Co 0.0000 0.0000 0.2500
Co 0.0000 0.0000 0.7500
H 0.0000 0.0000 0.0000
H 0.0000 0.0000 0.5000
H 0.0000 0.2791 0.0000
H 0.0000 0.2791 0.5000
H 0.1142 0.7068 0.2500
H 0.1190 0.2382 0.7500
H 0.1193 0.8810 0.7500
H 0.2382 0.1190 0.2500
H 0.2791 0.0000 0.0000
H 0.2791 0.0000 0.5000
H 0.2932 0.4074 0.2500
H 0.4074 0.2932 0.7500
H 0.5926 0.8858 0.2500
H 0.7068 0.1142 0.7500
H 0.7209 0.7209 0.0000
H 0.7209 0.7209 0.5000
H 0.7618 0.8807 0.7500
H 0.8810 0.1193 0.2500
H 0.8807 0.7618 0.2500
H 0.8858 0.5926 0.7500

Principal peaks in the range 5° ≤ 2θ ≤ 70°, sorted by position:
33.49°, rel. 100
34.10°, rel. 58
35.96°, rel. 65
36.39°, rel. 22
38.84°, rel. 47
42.63°, rel. 28
50.91°, rel. 15
62.71°, rel. 18
63.84°, rel. 30
65.83°, rel. 12



3.
Starting from a cell relaxed with GGA-PBE, the XRD peak list of Hf6Ga16Co7 was simulated for λ = 1.5418 Å (Cu Kα).

Atomic structure:
a = 8.4989 Å, b = 8.4989 Å, c = 8.4989 Å
α = 60.00°, β = 60.00°, γ = 60.00°
Element x y z (fractional)
Hf 0.1964 0.1964 0.8036
Hf 0.1964 0.8036 0.1964
Hf 0.1964 0.8036 0.8036
Hf 0.8036 0.1964 0.1964
Hf 0.8036 0.1964 0.8036
Hf 0.8036 0.8036 0.1964
Ga 0.1367 0.6211 0.6211
Ga 0.1588 0.1588 0.1588
Ga 0.1588 0.1588 0.5236
Ga 0.1588 0.5236 0.1588
Ga 0.3789 0.3789 0.3789
Ga 0.3789 0.3789 0.8633
Ga 0.3789 0.8633 0.3789
Ga 0.4764 0.8412 0.8412
Ga 0.5236 0.1588 0.1588
Ga 0.6211 0.1367 0.6211
Ga 0.6211 0.6211 0.1367
Ga 0.6211 0.6211 0.6211
Ga 0.8412 0.4764 0.8412
Ga 0.8412 0.8412 0.4764
Ga 0.8412 0.8412 0.8412
Ga 0.8633 0.3789 0.3789
Co 0.0000 0.0000 0.5000
Co 0.0000 0.5000 0.0000
Co 0.0000 0.5000 0.5000
Co 0.5000 0.0000 0.0000
Co 0.5000 0.0000 0.5000
Co 0.5000 0.5000 0.0000
Co 0.5000 0.5000 0.5000

Principal peaks in the range 5° ≤ 2θ ≤ 70°, sorted by position:
12.76°, rel. 9
25.68°, rel. 14
32.47°, rel. 22
36.63°, rel. 34
38.94°, rel. 100
42.55°, rel. 96
45.27°, rel. 24
59.03°, rel. 22
65.95°, rel. 26
67.49°, rel. 14



4.
Starting from a cell relaxed with GGA-PBE, the XRD peak list of HfGa2Co was simulated for λ = 1.5418 Å (Cu Kα).

Atomic structure:
a = 9.5663 Å, b = 9.5663 Å, c = 9.5663 Å
α = 100.40°, β = 100.40°, γ = 129.72°
Element x y z (fractional)
Hf 0.0000 0.0000 0.0000
Hf 0.0839 0.0839 0.4013
Hf 0.0839 0.6826 0.0000
Hf 0.1147 0.3951 0.7195
Hf 0.3951 0.1147 0.7195
Hf 0.3951 0.6756 0.2805
Hf 0.4658 0.4658 0.0000
Hf 0.6756 0.3951 0.2805
Hf 0.6826 0.0839 0.0000
Hf 0.6826 0.6826 0.5987
Ga 0.0965 0.0965 0.7383
Ga 0.0965 0.3583 0.0000
Ga 0.2543 0.8703 0.3840
Ga 0.2728 0.4836 0.4919
Ga 0.2728 0.7809 0.7892
Ga 0.3583 0.0965 0.0000
Ga 0.3583 0.3583 0.2617
Ga 0.4836 0.2728 0.4919
Ga 0.4836 0.9917 0.2108
Ga 0.4864 0.8703 0.6160
Ga 0.5579 0.7205 0.8374
Ga 0.7205 0.5579 0.8374
Ga 0.7205 0.8830 0.1626
Ga 0.7809 0.2728 0.7892
Ga 0.7809 0.9917 0.5081
Ga 0.8703 0.2543 0.3840
Ga 0.8703 0.4864 0.6160
Ga 0.8830 0.7205 0.1626
Ga 0.9917 0.4836 0.2108
Ga 0.9917 0.7809 0.5081
Co 0.0311 0.2467 0.2156
Co 0.0311 0.8154 0.7844
Co 0.1203 0.6203 0.5000
Co 0.2467 0.0311 0.2156
Co 0.3746 0.3746 0.6751
Co 0.3746 0.6995 0.0000
Co 0.6203 0.1203 0.5000
Co 0.6995 0.3746 0.0000
Co 0.6995 0.6995 0.3249
Co 0.8154 0.0311 0.7844

Principal peaks in the range 5° ≤ 2θ ≤ 70°, sorted by position:
24.40°, rel. 31
36.75°, rel. 75
38.24°, rel. 89
38.38°, rel. 100
39.69°, rel. 24
39.94°, rel. 54
41.72°, rel. 27
42.69°, rel. 49
44.38°, rel. 38
45.87°, rel. 24



5.
Starting from a cell relaxed with GGA-PBE, the XRD peak list of HfGa2Co2 was simulated for λ = 1.5418 Å (Cu Kα).

Atomic structure:
a = 3.0909 Å, b = 4.1388 Å, c = 11.3033 Å
α = 90.00°, β = 90.00°, γ = 90.00°
Element x y z (fractional)
Hf 0.2500 0.2500 0.2491
Hf 0.7500 0.7500 0.7509
Ga 0.2500 0.2500 0.6370
Ga 0.2500 0.7500 0.9771
Ga 0.7500 0.2500 0.0229
Ga 0.7500 0.7500 0.3630
Co 0.2500 0.2500 0.8482
Co 0.2500 0.7500 0.5287
Co 0.7500 0.2500 0.4713
Co 0.7500 0.7500 0.1518

Principal peaks in the range 5° ≤ 2θ ≤ 70°, sorted by position:
15.68°, rel. 13
22.88°, rel. 15
32.13°, rel. 23
36.27°, rel. 18
37.64°, rel. 45
39.74°, rel. 100
43.74°, rel. 34
45.73°, rel. 48
59.05°, rel. 24
59.85°, rel. 13



6.
Starting from a cell relaxed with GGA-PBE, the XRD peak list of HfGa2Co3 was simulated for λ = 1.5418 Å (Cu Kα).

Atomic structure:
a = 6.7033 Å, b = 6.7033 Å, c = 5.8605 Å
α = 90.00°, β = 90.00°, γ = 142.98°
Element x y z (fractional)
Hf 0.1598 0.8402 0.0000
Hf 0.8402 0.1598 0.0000
Ga 0.1704 0.8296 0.5000
Ga 0.5000 0.5000 0.0000
Ga 0.5000 0.5000 0.5000
Ga 0.8296 0.1704 0.5000
Co 0.0000 0.0000 0.2733
Co 0.0000 0.0000 0.7267
Co 0.3356 0.6644 0.2611
Co 0.3356 0.6644 0.7389
Co 0.6644 0.3356 0.2611
Co 0.6644 0.3356 0.7389

Principal peaks in the range 5° ≤ 2θ ≤ 70°, sorted by position:
15.12°, rel. 9
26.82°, rel. 4
29.75°, rel. 10
30.51°, rel. 5
33.53°, rel. 11
42.48°, rel. 27
42.67°, rel. 26
43.13°, rel. 100
61.78°, rel. 16
63.50°, rel. 7